1.
Computed X-ray powder pattern of SO5 for Cu Kα, from a cell relaxed with GGA-PBE.
Kinematic intensities with the Lorentz-polarization factor, no thermal factor.

Largest 10 diffraction maxima, sorted by position, 10 to 90 degrees two-theta:
- 12.0°, rel. 24, (1 0 0)
- 17.2°, rel. 35, (0 1 1)
- 18.1°, rel. 63, (1 1 0)
- 23.0°, rel. 100, (2 0 -2)
- 25.3°, rel. 91, (0 1 2)
- 27.3°, rel. 19, (0 2 0)
- 27.8°, rel. 55, (2 1 0)
- 29.3°, rel. 31, (1 0 2)
- 31.9°, rel. 21, (3 0 -2)
- 32.4°, rel. 35, (1 1 2)

Crystal structure
```
data_SO5
_chemical_formula_sum 'S4 O20'
_space_group_name_H-M_alt 'P 1 21/c 1'
_space_group_IT_number 14
_cell_length_a 8.4716
_cell_length_b 6.5398
_cell_length_c 9.6258
_cell_angle_alpha 90.00
_cell_angle_beta 119.57
_cell_angle_gamma 90.00
loop_
_space_group_symop_operation_xyz
'x,y,z'
'-x,-y,-z'
'-x,y+1/2,-z+1/2'
'x,-y+1/2,z+1/2'
loop_
_atom_site_label
_atom_site_type_symbol
_atom_site_fract_x
_atom_site_fract_y
_atom_site_fract_z
S1 S 0.1709 0.1790 0.4174
O1 O 0.0459 0.0208 0.3234
O2 O 0.1309 0.1942 0.0176
O3 O 0.3332 0.7196 0.6846
O4 O 0.3342 0.2098 0.4099
O5 O 0.3511 0.5932 0.1912
```

2.
Computed X-ray powder pattern of SO5 for Cu Kα, from a cell relaxed with GGA-PBE.
Kinematic intensities with the Lorentz-polarization factor, no thermal factor.

Largest 10 diffraction maxima, sorted by position, 10 to 90 degrees two-theta:
- 16.8°, rel. 46, (1 0 1)
- 18.8°, rel. 100, (1 1 0)
- 19.5°, rel. 60, (0 0 2)
- 23.4°, rel. 47, (0 1 2)
- 23.9°, rel. 76, (1 0 2)
- 25.9°, rel. 53, (0 2 0)
- 27.6°, rel. 19, (2 0 0)
- 31.0°, rel. 53, (1 2 1)
- 34.0°, rel. 23, (2 0 2)
- 51.0°, rel. 18, (3 2 1)

Crystal structure
```
data_SO5
_chemical_formula_sum 'S4 O20'
_space_group_name_H-M_alt 'P 21 21 21'
_space_group_IT_number 19
_cell_length_a 6.4645
_cell_length_b 6.8925
_cell_length_c 9.1246
_cell_angle_alpha 90.00
_cell_angle_beta 90.00
_cell_angle_gamma 90.00
loop_
_space_group_symop_operation_xyz
'x,y,z'
'-x+1/2,-y,z+1/2'
'x+1/2,-y+1/2,-z'
'-x,y+1/2,-z+1/2'
loop_
_atom_site_label
_atom_site_type_symbol
_atom_site_fract_x
_atom_site_fract_y
_atom_site_fract_z
S1 S 0.1908 0.9997 0.1770
O1 O 0.0068 0.0000 0.0759
O2 O 0.1140 0.9995 0.3330
O3 O 0.1848 0.1766 0.6501
O4 O 0.1846 0.8242 0.6504
O5 O 0.2010 0.4996 0.2352
```

3.
Computed X-ray powder pattern of SO2 for Cu Kα, from a cell relaxed with GGA-PBE.
Kinematic intensities with the Lorentz-polarization factor, no thermal factor.

Largest 10 diffraction maxima, sorted by position, 10 to 90 degrees two-theta:
- 24.3°, rel. 100, (0 1 1)
- 24.6°, rel. 94, (1 1 -1)
- 27.3°, rel. 46, (1 0 0)
- 28.2°, rel. 15, (0 2 0)
- 32.7°, rel. 12, (1 1 -2)
- 34.6°, rel. 12, (0 2 1)
- 34.9°, rel. 14, (1 2 -1)
- 39.6°, rel. 13, (1 2 0)
- 41.2°, rel. 12, (1 2 -2)
- 65.2°, rel. 11, (1 3 -3)

Crystal structure
```
data_SO2
_chemical_formula_sum 'S2 O4'
_space_group_name_H-M_alt 'P 1 c 1'
_space_group_IT_number 7
_cell_length_a 4.4188
_cell_length_b 6.3383
_cell_length_c 6.0770
_cell_angle_alpha 90.00
_cell_angle_beta 132.39
_cell_angle_gamma 90.00
loop_
_space_group_symop_operation_xyz
'x,y,z'
'x,-y,z+1/2'
loop_
_atom_site_label
_atom_site_type_symbol
_atom_site_fract_x
_atom_site_fract_y
_atom_site_fract_z
S1 S 0.0000 0.2473 0.0000
O1 O 0.7631 0.3817 0.0294
O2 O 0.7745 0.1165 0.7353
```

4.
Computed X-ray powder pattern of SO12 for Cu Kα, from a cell relaxed with GGA-PBE.
Kinematic intensities with the Lorentz-polarization factor, no thermal factor.

Largest 10 diffraction maxima, sorted by position, 10 to 90 degrees two-theta:
- 17.9°, rel. 65, (3 1 0)
- 19.7°, rel. 63, (1 1 1)
- 23.6°, rel. 93, (2 2 0)
- 26.0°, rel. 85, (0 2 1)
- 26.4°, rel. 86, (2 2 -1)
- 27.2°, rel. 100, (4 0 1)
- 28.3°, rel. 77, (2 0 -2)
- 28.6°, rel. 70, (6 0 -1)
- 28.9°, rel. 44, (4 2 0)
- 30.0°, rel. 82, (4 2 -1)

Crystal structure
```
data_SO12
_chemical_formula_sum 'S4 O48'
_space_group_name_H-M_alt 'C 1 2 1'
_space_group_IT_number 5
_cell_length_a 19.2565
_cell_length_b 8.2727
_cell_length_c 6.3229
_cell_angle_alpha 90.00
_cell_angle_beta 105.73
_cell_angle_gamma 90.00
loop_
_space_group_symop_operation_xyz
'x,y,z'
'-x,y,-z'
'x+1/2,y+1/2,z'
'-x+1/2,y+1/2,-z'
loop_
_atom_site_label
_atom_site_type_symbol
_atom_site_fract_x
_atom_site_fract_y
_atom_site_fract_z
S1 S 0.1509 0.0000 0.4002
O1 O 0.0319 0.7223 0.7822
O2 O 0.0549 0.3169 0.8003
O3 O 0.0733 0.1777 0.8516
O4 O 0.0851 0.7948 0.7610
O5 O 0.0927 0.1128 0.3819
O6 O 0.1113 0.4842 0.2595
O7 O 0.1205 0.4992 0.4580
O8 O 0.1389 0.8573 0.2654
O9 O 0.1982 0.1480 0.1959
O10 O 0.2110 0.0028 0.5941
O11 O 0.2129 0.6428 0.9643
O12 O 0.2459 0.5668 0.8493
```

5.
Computed X-ray powder pattern of Sb2S6O21 for Cu Kα, from a cell relaxed with GGA-PBE.
Kinematic intensities with the Lorentz-polarization factor, no thermal factor.

Largest 10 diffraction maxima, sorted by position, 10 to 90 degrees two-theta:
- 13.5°, rel. 77, (0 0 2)
- 15.0°, rel. 44, (1 1 0)
- 15.7°, rel. 24, (1 1 1)
- 17.3°, rel. 55, (1 1 -1)
- 21.1°, rel. 97, (1 -1 2)
- 22.5°, rel. 100, (0 2 2)
- 26.9°, rel. 22, (2 0 0)
- 27.8°, rel. 51, (-1 1 3)
- 28.6°, rel. 49, (2 0 2)
- 32.6°, rel. 42, (1 -3 0)

Crystal structure
```
data_Sb2S6O21
_chemical_formula_sum 'Sb4 S12 O42'
_space_group_name_H-M_alt 'P -1'
_space_group_IT_number 2
_cell_length_a 6.7672
_cell_length_b 9.8168
_cell_length_c 13.2529
_cell_angle_alpha 87.24
_cell_angle_beta 82.49
_cell_angle_gamma 81.13
loop_
_space_group_symop_operation_xyz
'x,y,z'
'-x,-y,-z'
loop_
_atom_site_label
_atom_site_type_symbol
_atom_site_fract_x
_atom_site_fract_y
_atom_site_fract_z
Sb1 Sb 0.2417 0.0921 0.2351
Sb2 Sb 0.2443 0.4044 0.7946
S1 S 0.0807 0.3194 0.4136
S2 S 0.1026 0.6993 0.9590
S3 S 0.2847 0.0301 0.7214
S4 S 0.3300 0.4374 0.2549
S5 S 0.4341 0.8149 0.3922
S6 S 0.4515 0.7802 0.0423
O1 O 0.0083 0.3021 0.9401
O2 O 0.0578 0.8223 0.8970
O3 O 0.0592 0.3298 0.5212
O4 O 0.0756 0.6195 0.6456
O5 O 0.1075 0.5699 0.9051
O6 O 0.1098 0.9780 0.6981
O7 O 0.1667 0.1717 0.3828
O8 O 0.2067 0.5640 0.2309
O9 O 0.2561 0.1404 0.7936
O10 O 0.2846 0.4005 0.3751
O11 O 0.2908 0.8964 0.3284
O12 O 0.2922 0.3171 0.2010
O13 O 0.2973 0.8639 0.1069
O14 O 0.3457 0.6841 0.9730
O15 O 0.3669 0.8036 0.4979
O16 O 0.3777 0.0908 0.6118
O17 O 0.4109 0.1536 0.0277
O18 O 0.4401 0.3400 0.8992
O19 O 0.4435 0.9137 0.7483
O20 O 0.4488 0.5580 0.7557
O21 O 0.4735 0.3152 0.6568
```

6.
Computed X-ray powder pattern of TbSb2SO4 for Cu Kα, from a cell relaxed with GGA-PBE.
Kinematic intensities with the Lorentz-polarization factor, no thermal factor.

Largest 10 diffraction maxima, sorted by position, 10 to 90 degrees two-theta:
- 10.2°, rel. 19, (0 0 1)
- 25.9°, rel. 35, (1 0 1)
- 31.6°, rel. 100, (1 0 2)
- 33.9°, rel. 34, (1 1 0)
- 46.5°, rel. 27, (1 1 3)
- 48.7°, rel. 22, (2 0 0)
- 54.7°, rel. 15, (1 1 4)
- 58.6°, rel. 14, (1 0 5)
- 59.2°, rel. 32, (2 1 2)
- 79.5°, rel. 11, (2 1 5)

Crystal structure
```
data_TbSb2SO4
_chemical_formula_sum 'Tb1 Sb2 S1 O4'
_space_group_name_H-M_alt 'P 4/m m m'
_space_group_IT_number 123
_space_group_name_Hall '-P 4 2'
_cell_length_a 3.7420
_cell_length_b 3.7420
_cell_length_c 8.6874
_cell_angle_alpha 90.00
_cell_angle_beta 90.00
_cell_angle_gamma 90.00
loop_
_atom_site_label
_atom_site_type_symbol
_atom_site_fract_x
_atom_site_fract_y
_atom_site_fract_z
Tb1 Tb 0.0000 0.0000 0.0000
Sb1 Sb 0.5000 0.5000 0.2910
S1 S 0.0000 0.0000 0.5000
O1 O 0.0000 0.5000 0.1651
```

7.
Computed X-ray powder pattern of TbSbSO2 for Cu Kα, from a cell relaxed with GGA-PBE.
Kinematic intensities with the Lorentz-polarization factor, no thermal factor.

Largest 10 diffraction maxima, sorted by position, 10 to 90 degrees two-theta:
- 14.4°, rel. 31, (1 0 0)
- 27.0°, rel. 100, (1 1 0)
- 31.9°, rel. 49, (1 0 2)
- 32.5°, rel. 37, (2 0 -2)
- 33.7°, rel. 33, (0 1 2)
- 33.9°, rel. 37, (1 1 -2)
- 37.2°, rel. 25, (2 1 0)
- 49.7°, rel. 27, (2 1 2)
- 50.4°, rel. 31, (3 1 -2)
- 57.5°, rel. 23, (1 2 2)

Crystal structure
```
data_TbSbSO2
_chemical_formula_sum 'Tb2 Sb2 S2 O4'
_space_group_name_H-M_alt 'P 1 21/m 1'
_space_group_IT_number 11
_cell_length_a 6.3888
_cell_length_b 3.9118
_cell_length_c 7.5660
_cell_angle_alpha 90.00
_cell_angle_beta 106.11
_cell_angle_gamma 90.00
loop_
_space_group_symop_operation_xyz
'x,y,z'
'-x,-y,-z'
'-x,y+1/2,-z'
'x,-y+1/2,z'
loop_
_atom_site_label
_atom_site_type_symbol
_atom_site_fract_x
_atom_site_fract_y
_atom_site_fract_z
Tb1 Tb 0.2032 0.2500 0.4170
Sb1 Sb 0.1886 0.2500 0.9217
S1 S 0.4414 0.7500 0.2795
O1 O 0.0167 0.2500 0.6396
O2 O 0.0226 0.7500 0.8930
```

8.
Computed X-ray powder pattern of Sc3SO for Cu Kα, from a cell relaxed with GGA-PBE.
Kinematic intensities with the Lorentz-polarization factor, no thermal factor.

Largest 10 diffraction maxima, sorted by position, 10 to 90 degrees two-theta:
- 32.4°, rel. 9, (1 1 1)
- 32.6°, rel. 13, (0 6 1)
- 35.0°, rel. 19, (1 3 1)
- 35.3°, rel. 100, (0 0 2)
- 41.0°, rel. 12, (0 8 1)
- 42.1°, rel. 7, (1 7 0)
- 50.9°, rel. 35, (1 5 2)
- 55.0°, rel. 11, (2 0 0)
- 67.1°, rel. 11, (2 0 2)
- 85.6°, rel. 7, (1 5 4)

Crystal structure
```
data_Sc3SO
_chemical_formula_sum 'Sc12 S4 O4'
_space_group_name_H-M_alt 'C m c 21'
_space_group_IT_number 36
_cell_length_a 3.3412
_cell_length_b 19.5675
_cell_length_c 5.0735
_cell_angle_alpha 90.00
_cell_angle_beta 90.00
_cell_angle_gamma 90.00
loop_
_space_group_symop_operation_xyz
'x,y,z'
'-x,-y,z+1/2'
'-x,y,z'
'x,-y,z+1/2'
'x+1/2,y+1/2,z'
'-x+1/2,-y+1/2,z+1/2'
'-x+1/2,y+1/2,z'
'x+1/2,-y+1/2,z+1/2'
loop_
_atom_site_label
_atom_site_type_symbol
_atom_site_fract_x
_atom_site_fract_y
_atom_site_fract_z
Sc1 Sc 0.0000 0.0412 0.0000
Sc2 Sc 0.0000 0.1942 0.9992
Sc3 Sc 0.0000 0.3972 0.0005
S1 S 0.0000 0.2038 0.4993
O1 O 0.0000 0.3807 0.4992
```

9.
Computed X-ray powder pattern of Sc3S3O for Cu Kα, from a cell relaxed with GGA-PBE.
Kinematic intensities with the Lorentz-polarization factor, no thermal factor.

Largest 10 diffraction maxima, sorted by position, 10 to 90 degrees two-theta:
- 21.5°, rel. 21, (1 1 1)
- 22.2°, rel. 28, (1 3 0)
- 25.7°, rel. 100, (0 4 0)
- 34.3°, rel. 40, (3 1 0)
- 34.8°, rel. 61, (0 0 2)
- 43.8°, rel. 41, (0 4 2)
- 45.4°, rel. 61, (2 6 0)
- 49.6°, rel. 25, (3 1 2)
- 58.4°, rel. 53, (2 6 2)
- 78.4°, rel. 12, (5 5 2)

Crystal structure
```
data_Sc3S3O
_chemical_formula_sum 'Sc12 S12 O4'
_space_group_name_H-M_alt 'C m c m'
_space_group_IT_number 63
_space_group_name_Hall '-C 2c 2'
_cell_length_a 7.9967
_cell_length_b 13.8310
_cell_length_c 5.1624
_cell_angle_alpha 90.00
_cell_angle_beta 90.00
_cell_angle_gamma 90.00
loop_
_atom_site_label
_atom_site_type_symbol
_atom_site_fract_x
_atom_site_fract_y
_atom_site_fract_z
Sc1 Sc 0.0000 0.1863 0.2500
Sc2 Sc 0.2198 0.4068 0.2500
S1 S 0.0000 0.1778 0.7500
S2 S 0.2323 0.4110 0.7500
O1 O 0.0000 0.3331 0.2500
```

10.
Computed X-ray powder pattern of Sc2S3O12 for Cu Kα, from a cell relaxed with GGA-PBE.
Kinematic intensities with the Lorentz-polarization factor, no thermal factor.

Largest 10 diffraction maxima, sorted by position, 10 to 90 degrees two-theta:
- 13.9°, rel. 36, (0 1 2)
- 19.4°, rel. 24, (1 0 4)
- 23.3°, rel. 100, (1 1 3)
- 23.4°, rel. 8, (0 0 6)
- 28.0°, rel. 27, (0 2 4)
- 31.0°, rel. 25, (1 1 6)
- 31.1°, rel. 12, (2 1 1)
- 35.1°, rel. 9, (3 0 0)
- 47.5°, rel. 9, (2 2 6)
- 50.9°, rel. 10, (2 1 10)

Crystal structure
```
data_Sc2S3O12
_chemical_formula_sum 'Sc12 S18 O72'
_space_group_name_H-M_alt 'R -3 c'
_space_group_IT_number 167
_space_group_name_Hall '-R 3 2"c'
_cell_length_a 8.8489
_cell_length_b 8.8489
_cell_length_c 22.8488
_cell_angle_alpha 90.00
_cell_angle_beta 90.00
_cell_angle_gamma 120.00
loop_
_atom_site_label
_atom_site_type_symbol
_atom_site_fract_x
_atom_site_fract_y
_atom_site_fract_z
Sc1 Sc 0.0000 0.0000 0.1442
S1 S 0.0000 0.2864 0.2500
O1 O 0.0281 0.2060 0.9080
O2 O 0.0300 0.2063 0.1977
```